(1)
Structure and calculated XRD peak list of Ti3SnH2 (a structure optimized by DFT (GGA-PBE); Cu Kα X-rays).
Intensities are scaled so that the largest is 100.

Most intense lines, 15 to 90 degrees two-theta, sorted by position:
Position (°2θ), Rel. int., h k l
24.03, 23, 1 0 1
37.05, 100, 1 1 2
39.47, 21, 0 0 4
44.74, 30, 2 0 0
61.17, 22, 2 0 4
77.37, 23, 3 1 2

Structure:
abc: 4.0509 4.0509 9.1327
angles: 90.00 90.00 90.00
Space group I4/mmm (No. 139)
One atom of each set of equivalent atoms:
Ti  0.0000  0.0000  0.0000 [2 per cell]
Ti  0.0000  0.5000  0.2500 [4 per cell]
Sn  0.0000  0.0000  0.5000 [2 per cell]
H  0.0000  0.0000  0.2066 [4 per cell]

***

(2)
Structure and calculated XRD peak list of Ti2SnH2 (a structure optimized by DFT (GGA-PBE); Cu Kα X-rays).
Intensities are scaled so that the largest is 100.

Most intense lines, 15 to 90 degrees two-theta, sorted by position:
Position (°2θ), Rel. int., h k l
26.74, 32, 1 0 1
35.48, 63, 1 1 0
38.75, 100, 1 0 3
51.04, 23, 2 0 0
65.88, 40, 2 1 3
72.24, 15, 1 1 6

Structure:
abc: 3.5786 3.5786 9.1665
angles: 90.00 90.00 90.00
Space group I4/mmm (No. 139)
One atom of each set of equivalent atoms:
Ti  0.0000  0.0000  0.1715 [4 per cell]
Sn  0.0000  0.0000  0.5000 [2 per cell]
H  0.0000  0.5000  0.2500 [4 per cell]

***

Please write out number 1 again, unchanged.
Structure and calculated XRD peak list of Ti3SnH2 (a structure optimized by DFT (GGA-PBE); Cu Kα X-rays).
Intensities are scaled so that the largest is 100.

Most intense lines, 15 to 90 degrees two-theta, sorted by position:
Position (°2θ), Rel. int., h k l
24.03, 23, 1 0 1
37.05, 100, 1 1 2
39.47, 21, 0 0 4
44.74, 30, 2 0 0
61.17, 22, 2 0 4
77.37, 23, 3 1 2

Structure:
abc: 4.0509 4.0509 9.1327
angles: 90.00 90.00 90.00
Space group I4/mmm (No. 139)
One atom of each set of equivalent atoms:
Ti  0.0000  0.0000  0.0000 [2 per cell]
Ti  0.0000  0.5000  0.2500 [4 per cell]
Sn  0.0000  0.0000  0.5000 [2 per cell]
H  0.0000  0.0000  0.2066 [4 per cell]